Diffraction record for KTl3Pb2. The X-ray diffraction stick pattern is simulated, not measured: it uses a structure optimized by DFT (GGA-PBE) and Cu Kα X-rays.

Crystal structure
```
KTl3Pb2
1.0
5.816 -5.383 0.000
5.816 5.383 0.000
0.000 0.000 6.836
K Tl Pb
2 6 4
Direct
0.168 0.832 0.750
0.832 0.168 0.250
0.087 0.606 0.250
0.394 0.913 0.250
0.496 0.504 0.750
0.504 0.496 0.250
0.606 0.087 0.750
0.913 0.394 0.750
0.256 0.256 0.000
0.256 0.256 0.500
0.744 0.744 0.000
0.744 0.744 0.500
```

Top 10 peaks for 2θ from 10° to 80°, by angle:
| two_theta | d/Å | I (rel.) |
| --- | --- | --- |
| 11.20 | 7.902 | 43.1 |
| 15.23 | 5.816 | 31.0 |
| 17.15 | 5.170 | 35.1 |
| 27.72 | 3.219 | 61.9 |
| 30.33 | 2.947 | 34.7 |
| 30.99 | 2.886 | 50.0 |
| 33.29 | 2.692 | 50.2 |
| 34.70 | 2.585 | 100.0 |
| 35.07 | 2.559 | 71.3 |
| 53.61 | 1.710 | 30.2 |